# K2MnCoCl6
Simulated powder diffraction line list, CuKα. Input: DFT lattice parameters and positions (GGA-PBE).
Lines closer than 0.1° are merged.

Structure:
```
data_K2MnCoCl6
_chemical_formula_sum 'K6 Mn3 Co3 Cl18'
_symmetry_space_group_name_H-M 'R -3'
_symmetry_Int_Tables_number 148
_symmetry_space_group_name_Hall '-R 3'
_cell_length_a 7.0376
_cell_length_b 7.0376
_cell_length_c 16.9575
_cell_angle_alpha 90.00
_cell_angle_beta 90.00
_cell_angle_gamma 120.00
loop_
_atom_site_label
_atom_site_fract_x
_atom_site_fract_y
_atom_site_fract_z
_atom_site_occupancy
K1 0.0000 0.0000 0.2503 1
Mn1 0.0000 0.0000 0.0000 1
Co1 0.0000 0.0000 0.5000 1
Cl1 0.0044 0.4528 0.2488 1
```

Most intense lines, 2θ from 5° to 70°, sorted by position:
index, Position (°2θ), d [Å], Rel. int.
0 1 2, 17.92, 4.949, 45
1 1 0, 25.31, 3.519, 26
1 0 4, 25.60, 3.480, 32
2 -1 3, 29.91, 2.987, 17
2 0 2, 31.19, 2.868, 24
0 2 4, 36.31, 2.474, 100
2 -1 6, 40.96, 2.203, 12
3 -1 4, 44.78, 2.024, 16
2 2 0, 51.97, 1.759, 24
2 0 8, 52.59, 1.740, 30